Simulated powder X-ray diffraction pattern of Pr2H6IrRu for λ = 1.5418 Å (Cu Kα), from a structure optimized by DFT (GGA-PBE).
Kinematic intensities with the Lorentz-polarization factor, no thermal factor.

Structure:
a = 5.326 Å, b = 5.326 Å, c = 7.504 Å
α = 90.00°, β = 90.00°, γ = 90.00°
Space group I4/mmm (No. 139)
Asymmetric unit:
Pr: 0.000 0.500 0.250 x4
H: 0.000 0.000 0.249 x4
H: 0.249 0.249 0.500 x8
Ir: 0.000 0.000 0.000 x2
Ru: 0.000 0.000 0.500 x2

Peak list (10 most intense, 10 to 80 degrees two-theta, in order of rising 2θ)
- 2θ 20.45, d = 4.343 Å, I 4.8, (1 0 1)
- 2θ 33.70, d = 2.660 Å, I 100.0, (2 0 0)
- 2θ 39.70, d = 2.270 Å, I 1.9, (2 1 1)
- 2θ 48.33, d = 1.883 Å, I 12.5, (2 2 0)
- 2θ 48.53, d = 1.876 Å, I 6.2, (0 0 4)
- 2θ 53.06, d = 1.726 Å, I 1.3, (3 0 1)
- 2θ 60.23, d = 1.537 Å, I 25.2, (3 1 2)
- 2θ 60.36, d = 1.534 Å, I 12.5, (2 0 4)
- 2θ 70.75, d = 1.332 Å, I 4.0, (4 0 0)
- 2θ 70.91, d = 1.329 Å, I 7.9, (2 2 4)